# Y2Fe17B3
Theoretical powder XRD pattern, Cu Kα (λ = 1.5418 Å). Input: a GGA-PBE-relaxed structure.
Neutral-atom scattering factors, no anomalous dispersion.

The 10 most intense peaks (2θ = 10–90°), in order of falling intensity:
index, Position (°2θ), intensity
3 0 3, 42.00, 100
2 2 0, 41.50, 86
0 0 6, 43.46, 59
2 2 3, 47.12, 52
3 0 0, 35.73, 32
0 2 4, 37.39, 30
3 2 4, 61.28, 24
1 1 6, 48.46, 24
1 1 3, 29.69, 22
2 2 6, 61.65, 20

Crystal structure
a = 8.7042 Å, b = 8.7042 Å, c = 12.4934 Å
α = 90.00°, β = 90.00°, γ = 120.00°
Space group R-3m (No. 166, hexagonal axes)
Asymmetric unit:
Y 0.0000 0.0000 0.1563 x6
Fe 0.0000 0.0000 0.4038 x6
Fe 0.0000 0.2789 0.5000 x18
Fe 0.0000 0.5000 0.0000 x9
Fe 0.0072 0.5036 0.3427 x18
B 0.0000 0.5000 0.5000 x9

=====

# GaBSe2
Theoretical powder XRD pattern, Cu Kα (λ = 1.5418 Å). Input: a GGA-PBE-relaxed structure.
Neutral-atom scattering factors, no anomalous dispersion.

The 10 most intense peaks (2θ = 10–90°), in order of falling intensity:
index, Position (°2θ), intensity
0 0 1, 13.77, 100
0 1 -1, 27.74, 71
1 0 -1, 32.05, 55
0 1 1, 21.45, 52
1 1 2, 34.14, 44
1 -1 0, 39.79, 28
1 1 1, 28.21, 26
0 1 3, 41.72, 24
0 1 -2, 39.11, 23
1 0 1, 29.86, 18

Crystal structure
a = 3.4739 Å, b = 4.8156 Å, c = 6.7938 Å
α = 71.77°, β = 79.14°, γ = 68.99°
Space group P1 (No. 1)
Asymmetric unit:
Ga 0.0000 0.0000 0.0000 x1
B 0.2382 0.5810 0.9227 x1
Se 0.3286 0.2044 0.1902 x1
Se 0.8262 0.5401 0.7386 x1

=====

# RbS5O
Theoretical powder XRD pattern, Cu Kα (λ = 1.5418 Å). Input: a GGA-PBE-relaxed structure.
Neutral-atom scattering factors, no anomalous dispersion.

The 10 most intense peaks (2θ = 10–90°), in order of falling intensity:
index, Position (°2θ), intensity
3 1 -1, 29.59, 100
1 1 1, 26.29, 80
4 0 -1, 29.02, 60
0 0 2, 28.70, 48
3 1 -2, 36.10, 45
1 1 0, 20.38, 39
2 0 1, 23.77, 38
2 0 -2, 27.89, 37
4 0 1, 37.47, 30
2 2 -1, 42.33, 28

Crystal structure
a = 12.4868 Å, b = 4.6864 Å, c = 6.5533 Å
α = 90.00°, β = 108.33°, γ = 90.00°
Space group Cm (No. 8)
Asymmetric unit:
Rb 0.0000 0.0000 0.0000 x2
S 0.1635 0.0000 0.6340 x2
S 0.2148 0.5000 0.4618 x2
S 0.2707 0.0000 0.9292 x2
S 0.3824 0.2107 0.4412 x4
O 0.1279 0.5000 0.2449 x2

=====

# Cs4Sr3Cl10
Theoretical powder XRD pattern, Cu Kα (λ = 1.5418 Å). Input: a GGA-PBE-relaxed structure.
Neutral-atom scattering factors, no anomalous dispersion.

The 10 most intense peaks (2θ = 10–90°), in order of falling intensity:
index, Position (°2θ), intensity
1 1 0, 21.92, 100
2 0 0, 31.26, 47
2 1 7, 38.49, 28
2 0 14, 44.62, 24
1 1 8, 28.27, 23
0 0 14, 31.03, 17
2 2 0, 44.79, 16
3 1 0, 50.41, 16
1 1 14, 38.34, 12
2 2 14, 55.49, 12

Crystal structure
a = 5.7229 Å, b = 5.7229 Å, c = 40.3505 Å
α = 90.00°, β = 90.00°, γ = 90.00°
Space group I4/mmm (No. 139)
Asymmetric unit:
Cs 0.0000 0.0000 0.0681 x4
Cs 0.0000 0.0000 0.2019 x4
Sr 0.0000 0.0000 0.3575 x4
Sr 0.0000 0.0000 0.5000 x2
Cl 0.0000 0.0000 0.2867 x4
Cl 0.0000 0.0000 0.4290 x4
Cl 0.0000 0.5000 0.0000 x4
Cl 0.0000 0.5000 0.1410 x8

=====

# Pa2Si2Os3
Theoretical powder XRD pattern, Cu Kα (λ = 1.5418 Å). Input: a GGA-PBE-relaxed structure.
Neutral-atom scattering factors, no anomalous dispersion.

The 10 most intense peaks (2θ = 10–90°), in order of falling intensity:
index, Position (°2θ), intensity
0 1 2, 34.43, 100
1 0 0, 16.54, 75
2 1 -1, 40.80, 69
1 1 -2, 35.66, 69
1 0 1, 22.90, 60
2 0 1, 38.52, 51
1 1 3, 51.31, 42
1 1 -1, 29.93, 33
2 2 1, 63.38, 30
2 0 -3, 44.31, 28

Crystal structure
a = 5.5144 Å, b = 3.7707 Å, c = 7.4140 Å
α = 90.00°, β = 103.66°, γ = 90.00°
Space group P2/m (No. 10)
Asymmetric unit:
Pa 0.1332 0.0000 0.2675 x2
Si 0.3671 0.5000 0.7423 x2
Os 0.0000 0.5000 0.5000 x1
Os 0.2470 0.5000 0.0398 x2

=====

# Sm3DyCd
Theoretical powder XRD pattern, Cu Kα (λ = 1.5418 Å). Input: a GGA-PBE-relaxed structure.
Neutral-atom scattering factors, no anomalous dispersion.

The 10 most intense peaks (2θ = 10–90°), in order of falling intensity:
index, Position (°2θ), intensity
2 4 -1, 31.80, 100
4 0 -2, 32.82, 49
1 1 2, 31.19, 48
5 1 0, 31.62, 47
3 3 1, 33.04, 43
6 4 -3, 57.95, 16
3 5 1, 43.27, 15
7 3 -1, 47.56, 15
1 3 -3, 46.95, 14
4 4 3, 62.93, 12

Crystal structure
a = 14.9345 Å, b = 13.1348 Å, c = 6.5042 Å
α = 90.00°, β = 104.01°, γ = 90.00°
Space group C2/c (No. 15)
Asymmetric unit:
Sm 0.1013 0.0677 0.4690 x8
Sm 0.1876 0.3135 0.6325 x8
Sm 0.2004 0.4290 0.1389 x8
Dy 0.0945 0.1972 0.9798 x8
Cd 0.0000 0.3512 0.2500 x4
Cd 0.0000 0.4176 0.7500 x4